Record 1
The following is a theoretical X-ray powder pattern of DyPuSc3. It was derived from the GGA-PBE geometry in Alexandria, using Cu Kα (weighted mean of Kα1 and Kα2).

Atomic structure:
```
data_DyPuSc3
_cell_length_a 6.3754
_cell_length_b 6.3754
_cell_length_c 23.2528
_cell_angle_alpha 90.00
_cell_angle_beta 90.00
_cell_angle_gamma 120.00
_symmetry_space_group_name_H-M 'R -3 m'
_symmetry_Int_Tables_number 166
_symmetry_space_group_name_Hall '-R 3 2"'
loop_
_atom_site_label
_atom_site_fract_x
_atom_site_fract_y
_atom_site_fract_z
Dy1 0.0000 0.0000 0.0760
Pu1 0.0000 0.0000 0.3338
Sc1 0.0061 0.5030 0.8844
```

Most intense lines, 10 to 80 degrees two-theta, by angle:
- 2θ 11.4, intensity 57.2, hkl 0 0 3
- 2θ 25.0, intensity 36.0, hkl 0 1 5
- 2θ 28.0, intensity 93.7, hkl 1 1 0
- 2θ 30.3, intensity 100.0, hkl 1 1 3
- 2θ 31.4, intensity 51.2, hkl 1 0 7
- 2θ 34.9, intensity 33.0, hkl 0 1 8
- 2θ 36.0, intensity 36.9, hkl 0 2 4
- 2θ 37.9, intensity 42.4, hkl 2 0 5
- 2θ 55.5, intensity 38.3, hkl 1 1 12
- 2θ 57.9, intensity 28.0, hkl 2 2 0

Record 2
The following is a theoretical X-ray powder pattern of DyPu4Sc. It was derived from the GGA-PBE geometry in Alexandria, using Cu Kα (weighted mean of Kα1 and Kα2).

Atomic structure:
```
data_DyPu4Sc
_cell_length_a 8.6005
_cell_length_b 8.6005
_cell_length_c 8.6005
_cell_angle_alpha 90.00
_cell_angle_beta 90.00
_cell_angle_gamma 90.00
_symmetry_space_group_name_H-M 'F -4 3 m'
_symmetry_Int_Tables_number 216
_symmetry_space_group_name_Hall 'F -4 2 3'
loop_
_atom_site_label
_atom_site_fract_x
_atom_site_fract_y
_atom_site_fract_z
Dy1 0.0000 0.0000 0.0000
Pu1 0.1246 0.1246 0.3754
Sc1 0.2500 0.2500 0.7500
```

Most intense lines, 10 to 80 degrees two-theta, by angle:
- 2θ 17.9, intensity 46.6, hkl 1 1 1
- 2θ 34.6, intensity 100.0, hkl 3 1 1
- 2θ 36.2, intensity 68.9, hkl 2 2 2
- 2θ 42.0, intensity 20.8, hkl 4 0 0
- 2θ 46.0, intensity 13.7, hkl 3 3 1
- 2θ 55.5, intensity 35.3, hkl 5 1 1
- 2θ 60.9, intensity 34.2, hkl 4 4 0
- 2θ 64.1, intensity 10.5, hkl 5 3 1
- 2θ 72.0, intensity 12.3, hkl 5 3 3
- 2θ 73.0, intensity 28.2, hkl 6 2 2

Record 3
The following is a theoretical X-ray powder pattern of Dy2Pu2Sc7. It was derived from the GGA-PBE geometry in Alexandria, using Cu Kα (weighted mean of Kα1 and Kα2).

Atomic structure:
```
data_Dy2Pu2Sc7
_cell_length_a 8.9757
_cell_length_b 8.3578
_cell_length_c 8.0163
_cell_angle_alpha 90.00
_cell_angle_beta 103.13
_cell_angle_gamma 90.00
_symmetry_space_group_name_H-M 'C 1 2/m 1'
_symmetry_Int_Tables_number 12
_symmetry_space_group_name_Hall '-C 2y'
loop_
_atom_site_label
_atom_site_fract_x
_atom_site_fract_y
_atom_site_fract_z
Dy1 0.1064 0.0000 0.3713
Pu1 0.0000 0.3367 0.0000
Sc1 0.0000 0.5000 0.5000
Sc2 0.1817 0.0000 0.0239
Sc3 0.2037 0.2055 0.7083
```

Most intense lines, 10 to 80 degrees two-theta, by angle:
- 2θ 11.3, intensity 49.9, hkl 0 0 1
- 2θ 19.9, intensity 100.0, hkl 1 1 1
- 2θ 20.9, intensity 53.5, hkl 2 0 -1
- 2θ 25.1, intensity 53.2, hkl 1 1 -2
- 2θ 33.4, intensity 74.2, hkl 2 2 1
- 2θ 33.8, intensity 62.9, hkl 1 3 0
- 2θ 34.5, intensity 50.2, hkl 0 0 3
- 2θ 34.6, intensity 59.4, hkl 2 2 -2
- 2θ 34.9, intensity 56.1, hkl 1 3 -1
- 2θ 35.7, intensity 49.9, hkl 3 1 -2

Record 4
The following is a theoretical X-ray powder pattern of Dy3PuSe6. It was derived from the GGA-PBE geometry in Alexandria, using Cu Kα (weighted mean of Kα1 and Kα2).

Atomic structure:
```
data_Dy3PuSe6
_cell_length_a 11.6081
_cell_length_b 4.1214
_cell_length_c 11.8226
_cell_angle_alpha 90.00
_cell_angle_beta 109.03
_cell_angle_gamma 90.00
_symmetry_space_group_name_H-M 'P 1 21/m 1'
_symmetry_Int_Tables_number 11
_symmetry_space_group_name_Hall '-P 2yb'
loop_
_atom_site_label
_atom_site_fract_x
_atom_site_fract_y
_atom_site_fract_z
Dy1 0.0670 0.2500 0.1663
Dy2 0.1800 0.7500 0.5013
Dy3 0.3423 0.2500 0.9179
Pu1 0.4546 0.2500 0.3106
Se1 0.0193 0.2500 0.3846
Se2 0.1039 0.2500 0.9365
Se3 0.2446 0.7500 0.2763
Se4 0.3057 0.7500 0.7502
Se5 0.3844 0.2500 0.5379
Se6 0.4175 0.7500 0.0996
```

Most intense lines, 10 to 80 degrees two-theta, by angle:
- 2θ 22.6, intensity 55.8, hkl 1 0 -3
- 2θ 23.0, intensity 87.2, hkl 3 0 -1
- 2θ 29.7, intensity 100.0, hkl 2 1 1
- 2θ 30.8, intensity 44.3, hkl 2 0 -4
- 2θ 32.7, intensity 75.3, hkl 3 1 0
- 2θ 40.3, intensity 89.0, hkl 4 1 -3
- 2θ 42.0, intensity 46.6, hkl 1 1 4
- 2θ 43.9, intensity 91.9, hkl 0 2 0
- 2θ 44.6, intensity 33.4, hkl 5 0 1
- 2θ 54.7, intensity 34.5, hkl 2 2 -4

Record 5
The following is a theoretical X-ray powder pattern of Sm3Dy3PuSe8. It was derived from the GGA-PBE geometry in Alexandria, using Cu Kα (weighted mean of Kα1 and Kα2).

Atomic structure:
```
data_Sm3Dy3PuSe8
_cell_length_a 8.2173
_cell_length_b 8.2173
_cell_length_c 20.2258
_cell_angle_alpha 90.00
_cell_angle_beta 90.00
_cell_angle_gamma 120.00
_symmetry_space_group_name_H-M 'R -3 m'
_symmetry_Int_Tables_number 166
_symmetry_space_group_name_Hall '-R 3 2"'
loop_
_atom_site_label
_atom_site_fract_x
_atom_site_fract_y
_atom_site_fract_z
Sm1 0.0000 0.5000 0.0000
Dy1 0.0000 0.5000 0.5000
Pu1 0.0000 0.0000 0.5000
Se1 0.0000 0.0000 0.2472
Se2 0.0095 0.5047 0.7505
```

Most intense lines, 10 to 80 degrees two-theta, by angle:
- 2θ 13.2, intensity 14.5, hkl 0 0 3
- 2θ 25.4, intensity 11.2, hkl 0 2 1
- 2θ 26.6, intensity 12.1, hkl 2 0 2
- 2θ 30.7, intensity 100.0, hkl 0 2 4
- 2θ 43.9, intensity 37.4, hkl 2 0 8
- 2θ 44.1, intensity 36.9, hkl 2 2 0
- 2θ 54.7, intensity 19.5, hkl 4 0 4
- 2θ 64.0, intensity 12.1, hkl 0 4 8
- 2θ 72.5, intensity 16.8, hkl 2 2 12
- 2θ 72.8, intensity 16.6, hkl 2 4 4

Record 6
The following is a theoretical X-ray powder pattern of DyPu2Si2. It was derived from the GGA-PBE geometry in Alexandria, using Cu Kα (weighted mean of Kα1 and Kα2).

Atomic structure:
```
data_DyPu2Si2
_cell_length_a 3.7701
_cell_length_b 13.3200
_cell_length_c 8.7058
_cell_angle_alpha 90.00
_cell_angle_beta 90.00
_cell_angle_gamma 90.00
_symmetry_space_group_name_H-M 'C m c 21'
_symmetry_Int_Tables_number 36
_symmetry_space_group_name_Hall 'C 2c -2'
loop_
_atom_site_label
_atom_site_fract_x
_atom_site_fract_y
_atom_site_fract_z
Dy1 0.0000 0.0788 0.0000
Pu1 0.0000 0.1844 0.5893
Pu2 0.0000 0.3573 0.9092
Si1 0.0000 0.2958 0.3275
Si2 0.0000 0.4673 0.2130
```

Most intense lines, 10 to 80 degrees two-theta, by angle:
- 2θ 16.8, intensity 77.7, hkl 0 2 1
- 2θ 20.4, intensity 64.6, hkl 0 0 2
- 2θ 26.6, intensity 47.0, hkl 1 1 1
- 2θ 28.7, intensity 99.7, hkl 0 4 1
- 2θ 32.1, intensity 57.8, hkl 1 1 2
- 2θ 32.8, intensity 85.0, hkl 1 3 1
- 2θ 37.5, intensity 100.0, hkl 1 3 2
- 2θ 39.8, intensity 82.8, hkl 1 1 3
- 2θ 48.3, intensity 32.9, hkl 2 0 0
- 2θ 57.1, intensity 30.2, hkl 2 4 1

Record 7
The following is a theoretical X-ray powder pattern of Sm6Dy4Pu. It was derived from the GGA-PBE geometry in Alexandria, using Cu Kα (weighted mean of Kα1 and Kα2).

Atomic structure:
```
data_Sm6Dy4Pu
_cell_length_a 3.5556
_cell_length_b 23.3281
_cell_length_c 17.5386
_cell_angle_alpha 90.00
_cell_angle_beta 90.00
_cell_angle_gamma 90.00
_symmetry_space_group_name_H-M 'C m c m'
_symmetry_Int_Tables_number 63
_symmetry_space_group_name_Hall '-C 2c 2'
loop_
_atom_site_label
_atom_site_fract_x
_atom_site_fract_y
_atom_site_fract_z
Sm1 0.0000 0.0000 0.0000
Sm2 0.0000 0.2503 0.2500
Sm3 0.0000 0.2584 0.5825
Sm4 0.0000 0.4875 0.1615
Dy1 0.0000 0.1176 0.1402
Dy2 0.0000 0.3705 0.0467
Pu1 0.0000 0.1263 0.7500
```

Most intense lines, 10 to 80 degrees two-theta, by angle:
- 2θ 26.5, intensity 37.5, hkl 0 2 5
- 2θ 29.4, intensity 46.3, hkl 1 3 2
- 2θ 30.7, intensity 56.9, hkl 0 8 0
- 2θ 31.6, intensity 100.0, hkl 0 2 6
- 2θ 33.3, intensity 24.2, hkl 1 5 2
- 2θ 34.4, intensity 41.3, hkl 0 6 5
- 2θ 35.3, intensity 43.8, hkl 1 5 3
- 2θ 37.9, intensity 16.0, hkl 1 5 4
- 2θ 61.0, intensity 16.2, hkl 2 8 0
- 2θ 61.6, intensity 19.7, hkl 0 14 5

Record 8
The following is a theoretical X-ray powder pattern of Sm8Dy6Pu. It was derived from the GGA-PBE geometry in Alexandria, using Cu Kα (weighted mean of Kα1 and Kα2).

Atomic structure:
```
data_Sm8Dy6Pu
_cell_length_a 9.8665
_cell_length_b 9.8665
_cell_length_c 5.8523
_cell_angle_alpha 90.00
_cell_angle_beta 90.00
_cell_angle_gamma 120.00
_symmetry_space_group_name_H-M 'P 3'
_symmetry_Int_Tables_number 143
_symmetry_space_group_name_Hall 'P 3'
loop_
_atom_site_label
_atom_site_fract_x
_atom_site_fract_y
_atom_site_fract_z
Sm1 0.0000 0.0000 0.0000
Sm2 0.0675 0.6154 0.4754
Sm3 0.1194 0.4015 0.9946
Sm4 0.6667 0.3333 0.4698
Dy1 0.2396 0.0476 0.4866
Dy2 0.4271 0.2852 0.9833
Pu1 0.3333 0.6667 0.7336
```

Most intense lines, 10 to 80 degrees two-theta, by angle:
- 2θ 27.6, intensity 17.2, hkl 1 2 0
- 2θ 30.6, intensity 19.4, hkl 0 0 2
- 2θ 31.6, intensity 100.0, hkl 3 -1 1
- 2θ 41.6, intensity 23.0, hkl 1 2 2
- 2θ 48.8, intensity 21.8, hkl 4 1 0
- 2θ 55.0, intensity 20.0, hkl 1 2 3
- 2θ 58.7, intensity 16.0, hkl 4 1 2
- 2θ 59.4, intensity 15.1, hkl 2 4 1
- 2θ 66.1, intensity 6.7, hkl 6 -2 2
- 2θ 76.6, intensity 7.7, hkl 6 -2 3

Record 9
The following is a theoretical X-ray powder pattern of Sm14DyPu. It was derived from the GGA-PBE geometry in Alexandria, using Cu Kα (weighted mean of Kα1 and Kα2).

Atomic structure:
```
data_Sm14DyPu
_cell_length_a 7.2319
_cell_length_b 7.2319
_cell_length_c 10.1710
_cell_angle_alpha 90.00
_cell_angle_beta 90.00
_cell_angle_gamma 90.00
_symmetry_space_group_name_H-M 'P 4/m m m'
_symmetry_Int_Tables_number 123
_symmetry_space_group_name_Hall '-P 4 2'
loop_
_atom_site_label
_atom_site_fract_x
_atom_site_fract_y
_atom_site_fract_z
Sm1 0.0000 0.0000 0.0000
Sm2 0.0000 0.5000 0.0000
Sm3 0.0000 0.5000 0.5000
Sm4 0.2485 0.2485 0.2535
Sm5 0.5000 0.5000 0.0000
Dy1 0.5000 0.5000 0.5000
Pu1 0.0000 0.0000 0.5000
```

Most intense lines, 10 to 80 degrees two-theta, by angle:
- 2θ 30.3, intensity 100.0, hkl 2 0 2
- 2θ 35.1, intensity 34.0, hkl 2 2 0
- 2θ 35.3, intensity 16.7, hkl 0 0 4
- 2θ 50.5, intensity 12.2, hkl 4 0 0
- 2θ 50.6, intensity 24.1, hkl 2 2 4
- 2θ 60.0, intensity 29.0, hkl 4 2 2
- 2θ 60.3, intensity 14.2, hkl 2 0 6
- 2θ 63.1, intensity 12.4, hkl 4 0 4
- 2θ 74.2, intensity 3.9, hkl 4 4 0
- 2θ 74.7, intensity 1.9, hkl 0 0 8

Record 10
The following is a theoretical X-ray powder pattern of Sm6Dy3Tm2Pu. It was derived from the GGA-PBE geometry in Alexandria, using Cu Kα (weighted mean of Kα1 and Kα2).

Atomic structure:
```
data_Sm6Dy3Tm2Pu
_cell_length_a 6.1858
_cell_length_b 10.7177
_cell_length_c 11.7390
_cell_angle_alpha 90.00
_cell_angle_beta 100.13
_cell_angle_gamma 90.00
_symmetry_space_group_name_H-M 'C 1 2/m 1'
_symmetry_Int_Tables_number 12
_symmetry_space_group_name_Hall '-C 2y'
loop_
_atom_site_label
_atom_site_fract_x
_atom_site_fract_y
_atom_site_fract_z
Sm1 0.2473 0.1650 0.2472
Sm2 0.2478 0.0000 0.7530
Dy1 0.0000 0.1669 0.5000
Dy2 0.0000 0.5000 0.5000
Tm1 0.0000 0.3334 0.0000
Pu1 0.0000 0.0000 0.0000
```

Most intense lines, 10 to 80 degrees two-theta, by angle:
- 2θ 30.7, intensity 100.0, hkl 1 3 1
- 2θ 31.0, intensity 32.5, hkl 0 0 4
- 2θ 35.7, intensity 67.1, hkl 2 0 2
- 2θ 51.1, intensity 24.2, hkl 0 6 0
- 2θ 51.5, intensity 23.6, hkl 1 3 5
- 2θ 60.8, intensity 14.4, hkl 4 0 0
- 2θ 61.0, intensity 28.5, hkl 3 3 3
- 2θ 61.3, intensity 14.0, hkl 2 0 6
- 2θ 63.9, intensity 12.4, hkl 2 6 2
- 2θ 75.5, intensity 7.6, hkl 4 0 4

Record 11
The following is a theoretical X-ray powder pattern of Tb8Dy4Pu. It was derived from the GGA-PBE geometry in Alexandria, using Cu Kα (weighted mean of Kα1 and Kα2).

Atomic structure:
```
data_Tb8Dy4Pu
_cell_length_a 10.9329
_cell_length_b 10.9329
_cell_length_c 13.3507
_cell_angle_alpha 90.00
_cell_angle_beta 90.00
_cell_angle_gamma 120.00
_symmetry_space_group_name_H-M 'R -3 m'
_symmetry_Int_Tables_number 166
_symmetry_space_group_name_Hall '-R 3 2"'
loop_
_atom_site_label
_atom_site_fract_x
_atom_site_fract_y
_atom_site_fract_z
Tb1 0.0000 0.0000 0.2442
Tb2 0.0075 0.5038 0.7476
Dy1 0.0000 0.0000 0.0000
Dy2 0.0000 0.5000 0.0000
Pu1 0.0000 0.0000 0.5000
```

Most intense lines, 10 to 80 degrees two-theta, by angle:
- 2θ 16.2, intensity 6.5, hkl 1 1 0
- 2θ 19.9, intensity 8.6, hkl 0 0 3
- 2θ 25.8, intensity 6.3, hkl 1 1 3
- 2θ 32.8, intensity 100.0, hkl 2 2 0
- 2θ 47.1, intensity 18.3, hkl 4 0 4
- 2θ 58.5, intensity 28.6, hkl 6 0 0
- 2θ 58.7, intensity 9.4, hkl 2 0 8
- 2θ 68.7, intensity 5.9, hkl 4 4 0
- 2θ 78.2, intensity 8.1, hkl 6 2 4
- 2θ 78.3, intensity 8.1, hkl 4 2 8

Record 12
The following is a theoretical X-ray powder pattern of Tb3Dy3Pu. It was derived from the GGA-PBE geometry in Alexandria, using Cu Kα (weighted mean of Kα1 and Kα2).

Atomic structure:
```
data_Tb3Dy3Pu
_cell_length_a 6.1407
_cell_length_b 6.1407
_cell_length_c 42.0552
_cell_angle_alpha 90.00
_cell_angle_beta 90.00
_cell_angle_gamma 120.00
_symmetry_space_group_name_H-M 'R -3'
_symmetry_Int_Tables_number 148
_symmetry_space_group_name_Hall '-R 3'
loop_
_atom_site_label
_atom_site_fract_x
_atom_site_fract_y
_atom_site_fract_z
Tb1 0.0000 0.3319 0.1322
Dy1 0.9996 0.3333 0.2689
Pu1 0.0000 0.0000 0.3334
```

Most intense lines, 10 to 80 degrees two-theta, by angle:
- 2θ 29.8, intensity 28.1, hkl 1 1 3
- 2θ 31.8, intensity 100.0, hkl 1 1 6
- 2θ 31.9, intensity 40.2, hkl 0 0 15
- 2θ 35.0, intensity 64.0, hkl 2 -1 9
- 2θ 39.0, intensity 20.4, hkl 2 -1 12
- 2θ 51.6, intensity 32.4, hkl 3 0 0
- 2θ 54.7, intensity 25.2, hkl 1 1 21
- 2θ 60.9, intensity 10.1, hkl 2 -1 24
- 2θ 61.9, intensity 51.8, hkl 3 0 15
- 2θ 63.8, intensity 11.3, hkl 2 2 9